# BaSrEuBiO6
Calculated powder diffraction line list, CuKα. Input: a DFT-relaxed cell (PBE, the Materials Project).
Intensities are scaled so that the largest is 100.

Cell and atoms:
Cell: 6.1863 6.1863 6.1863 Å, 60.00 60.00 60.00°
Fractional coordinates of all 10 atoms:
Ba1 0.0000 0.0000 0.0000
Sr1 0.5000 0.5000 0.5000
Eu1 0.2500 0.2500 0.2500
Bi1 0.7500 0.7500 0.7500
O1 0.5075 0.5075 0.9925
O2 0.5075 0.9925 0.5075
O3 0.5075 0.9925 0.9925
O4 0.9925 0.5075 0.5075
O5 0.9925 0.5075 0.9925
O6 0.9925 0.9925 0.5075

The 8 most intense peaks (10 to 80 degrees two-theta), in order of rising 2θ:
20.30 deg, intensity 12
28.86 deg, intensity 100
41.28 deg, intensity 29
46.42 deg, intensity 6
51.15 deg, intensity 42
59.80 deg, intensity 19
67.74 deg, intensity 19
75.25 deg, intensity 6

# CsEuO3
Calculated powder diffraction line list, CuKα. Input: a DFT-relaxed cell (PBE, the Materials Project).
Intensities are scaled so that the largest is 100.

Cell and atoms:
Cell: 4.6025 4.6025 4.6025 Å, 90.00 90.00 90.00°
Fractional coordinates of all 5 atoms:
Cs1 0.0000 0.0000 0.0000
Eu1 0.5000 0.5000 0.5000
O1 0.0000 0.5000 0.5000
O2 0.5000 0.0000 0.5000
O3 0.5000 0.5000 0.0000

The 8 most intense peaks (10 to 80 degrees two-theta), in order of rising 2θ:
19.28 deg, intensity 3
27.40 deg, intensity 100
39.14 deg, intensity 30
48.45 deg, intensity 42
56.56 deg, intensity 20
63.97 deg, intensity 19
70.93 deg, intensity 6
77.62 deg, intensity 22

# ZnSb4O8
Calculated powder diffraction line list, CuKα. Input: a DFT-relaxed cell (PBE, the Materials Project).
Intensities are scaled so that the largest is 100.

Cell and atoms:
Cell: 3.2560 8.4054 9.4332 Å, 65.58 83.29 84.53°
Fractional coordinates of all 13 atoms:
Zn1 0.0000 0.0000 0.0000
Sb1 0.1969 0.3130 0.6603
Sb2 0.4296 0.9251 0.3050
Sb3 0.6181 0.4134 0.9866
Sb4 0.8161 0.9570 0.6462
O1 0.1220 0.5466 0.8642
O2 0.2325 0.0427 0.7792
O3 0.3522 0.0083 0.4816
O4 0.4976 0.8788 0.1128
O5 0.7017 0.2620 0.8631
O6 0.7681 0.2292 0.5565
O7 0.9264 0.0958 0.1990
O8 0.9317 0.7731 0.4086

The 8 most intense peaks (10 to 80 degrees two-theta), in order of rising 2θ:
11.58 deg, intensity 100
18.44 deg, intensity 59
19.21 deg, intensity 41
23.28 deg, intensity 66
30.54 deg, intensity 40
31.36 deg, intensity 41
31.58 deg, intensity 35
31.78 deg, intensity 35

# TlZnP3O9
Calculated powder diffraction line list, CuKα. Input: a DFT-relaxed cell (PBE, the Materials Project).
Intensities are scaled so that the largest is 100.

Cell and atoms:
Cell: 5.2258 12.1187 13.1547 Å, 90.00 90.00 90.00°
Fractional coordinates of all 56 atoms:
Tl1 0.0788 0.1409 0.2500
Tl2 0.0788 0.3591 0.7500
Tl3 0.9212 0.6409 0.2500
Tl4 0.9212 0.8591 0.7500
Zn1 0.0000 0.0000 0.0000
Zn2 0.0000 0.0000 0.5000
Zn3 0.0000 0.5000 0.0000
Zn4 0.0000 0.5000 0.5000
P1 0.2505 0.7500 0.0000
P2 0.2505 0.7500 0.5000
P3 0.4898 0.0845 0.6347
P4 0.4898 0.0845 0.8653
P5 0.4898 0.4155 0.1347
P6 0.4898 0.4155 0.3653
P7 0.5102 0.5845 0.6347
P8 0.5102 0.5845 0.8653
P9 0.5102 0.9155 0.1347
P10 0.5102 0.9155 0.3653
P11 0.7495 0.2500 0.0000
P12 0.7495 0.2500 0.5000
O1 0.1046 0.6576 0.0494
O2 0.1046 0.6576 0.4506
O3 0.1046 0.8424 0.5494
O4 0.1046 0.8424 0.9506
O5 0.2080 0.0627 0.6261
O6 0.2080 0.0627 0.8739
O7 0.2080 0.4373 0.1261
O8 0.2080 0.4373 0.3739
O9 0.3231 0.0029 0.1011
O10 0.3231 0.0029 0.3989
O11 0.3231 0.4971 0.6011
O12 0.3231 0.4971 0.8989
O13 0.4429 0.6207 0.7500
O14 0.4429 0.8793 0.2500
O15 0.4493 0.7024 0.5826
O16 0.4493 0.7024 0.9174
O17 0.4493 0.7976 0.0826
O18 0.4493 0.7976 0.4174
O19 0.5507 0.2024 0.5826
O20 0.5507 0.2024 0.9174
O21 0.5507 0.2976 0.0826
O22 0.5507 0.2976 0.4174
O23 0.5571 0.1207 0.7500
O24 0.5571 0.3793 0.2500
O25 0.6769 0.5029 0.1011
O26 0.6769 0.5029 0.3989
O27 0.6769 0.9971 0.6011
O28 0.6769 0.9971 0.8989
O29 0.7920 0.5627 0.6261
O30 0.7920 0.5627 0.8739
O31 0.7920 0.9373 0.1261
O32 0.7920 0.9373 0.3739
O33 0.8954 0.1576 0.0494
O34 0.8954 0.1576 0.4506
O35 0.8954 0.3424 0.5494
O36 0.8954 0.3424 0.9506

The 8 most intense peaks (10 to 80 degrees two-theta), in order of rising 2θ:
16.10 deg, intensity 25
16.97 deg, intensity 20
22.94 deg, intensity 27
23.48 deg, intensity 100
25.07 deg, intensity 34
32.16 deg, intensity 39
32.54 deg, intensity 34
36.92 deg, intensity 19

# K6Mo6C5Se8N5
Calculated powder diffraction line list, CuKα. Input: a DFT-relaxed cell (PBE, the Materials Project).
Intensities are scaled so that the largest is 100.

Cell and atoms:
Cell: 9.5661 9.5661 9.5661 Å, 104.70 104.70 119.51°
Fractional coordinates of all 30 atoms:
K1 0.0000 0.5000 0.5000
K2 0.0241 0.3820 0.9066
K3 0.1174 0.0241 0.6421
K4 0.3820 0.4754 0.3579
K5 0.4754 0.1174 0.0934
K6 0.5000 0.0000 0.5000
Mo1 0.5420 0.5420 0.0000
Mo2 0.5963 0.8033 0.8995
Mo3 0.6968 0.5963 0.7931
Mo4 0.8033 0.9038 0.2069
Mo5 0.9038 0.6968 0.1005
Mo6 0.9548 0.9548 0.0000
C1 0.0821 0.6440 0.2265
C2 0.3156 0.3156 0.0000
C3 0.4175 0.8556 0.7735
C4 0.6440 0.4175 0.5619
C5 0.8556 0.0821 0.4381
Se1 0.0371 0.7425 0.8963
Se2 0.1409 0.0371 0.2946
Se3 0.3591 0.4628 0.7054
Se4 0.4628 0.7574 0.1037
Se5 0.6537 0.3591 0.8963
Se6 0.7425 0.8462 0.7054
Se7 0.7574 0.6537 0.2946
Se8 0.8462 0.1409 0.1037
N1 0.1805 0.6183 0.2984
N2 0.1917 0.1917 0.0000
N3 0.3199 0.8820 0.7016
N4 0.6183 0.3199 0.4378
N5 0.8820 0.1805 0.5622

The 8 most intense peaks (10 to 80 degrees two-theta), in order of rising 2θ:
10.71 deg, intensity 96
11.90 deg, intensity 100
30.48 deg, intensity 40
39.23 deg, intensity 48
39.49 deg, intensity 17
42.53 deg, intensity 21
49.30 deg, intensity 19
50.77 deg, intensity 14

# Y2CuPt
Calculated powder diffraction line list, CuKα. Input: a DFT-relaxed cell (PBE, the Materials Project).
Intensities are scaled so that the largest is 100.

Cell and atoms:
Cell: 6.9741 6.9741 6.9741 Å, 90.00 90.00 90.00°
Fractional coordinates of all 16 atoms:
Y1 0.2500 0.2500 0.2500
Y2 0.2500 0.2500 0.7500
Y3 0.2500 0.7500 0.2500
Y4 0.2500 0.7500 0.7500
Y5 0.7500 0.2500 0.2500
Y6 0.7500 0.2500 0.7500
Y7 0.7500 0.7500 0.2500
Y8 0.7500 0.7500 0.7500
Cu1 0.0000 0.0000 0.0000
Cu2 0.0000 0.5000 0.5000
Cu3 0.5000 0.0000 0.5000
Cu4 0.5000 0.5000 0.0000
Pt1 0.0000 0.0000 0.5000
Pt2 0.0000 0.5000 0.0000
Pt3 0.5000 0.0000 0.0000
Pt4 0.5000 0.5000 0.5000

The 8 most intense peaks (10 to 80 degrees two-theta), in order of rising 2θ:
22.08 deg, intensity 18
25.54 deg, intensity 4
36.44 deg, intensity 100
43.01 deg, intensity 10
52.48 deg, intensity 17
57.61 deg, intensity 4
65.58 deg, intensity 35
77.41 deg, intensity 11

# Al8C3N4
Calculated powder diffraction line list, CuKα. Input: a DFT-relaxed cell (PBE, the Materials Project).
Intensities are scaled so that the largest is 100.

Cell and atoms:
Cell: 18.6249 18.6249 18.6249 Å, 9.96 9.96 9.96°
Fractional coordinates of all 15 atoms:
Al1 0.0624 0.0624 0.0624
Al2 0.1500 0.1500 0.1500
Al3 0.2255 0.2255 0.2255
Al4 0.3159 0.3159 0.3159
Al5 0.6841 0.6841 0.6841
Al6 0.7745 0.7745 0.7745
Al7 0.8500 0.8500 0.8500
Al8 0.9376 0.9376 0.9376
C1 0.0000 0.0000 0.0000
C2 0.1901 0.1901 0.1901
C3 0.8099 0.8099 0.8099
N1 0.0958 0.0958 0.0958
N2 0.2825 0.2825 0.2825
N3 0.7175 0.7175 0.7175
N4 0.9042 0.9042 0.9042

The 8 most intense peaks (10 to 80 degrees two-theta), in order of rising 2θ:
32.00 deg, intensity 74
32.12 deg, intensity 50
34.53 deg, intensity 36
36.68 deg, intensity 34
38.42 deg, intensity 80
38.88 deg, intensity 53
56.95 deg, intensity 100
71.10 deg, intensity 51